Calculated powder X-ray diffraction pattern of RbAcVO5 for Cu Kα, 1.54184 Å, from a structure optimized by DFT (PBE+U).

Structural model:
```
RbAcVO5
1.0
3.923 -5.230 0.000
3.923 5.230 0.000
-3.308 0.000 7.972
Rb Ac V O
2 2 2 10
direct
0.164 0.836 0.750 Rb
0.836 0.164 0.250 Rb
0.500 0.500 0.000 Ac
0.500 0.500 0.500 Ac
0.183 0.817 0.250 V
0.817 0.183 0.750 V
0.088 0.255 0.883 O
0.193 0.630 0.367 O
0.255 0.088 0.383 O
0.370 0.807 0.133 O
0.437 0.563 0.750 O
0.563 0.437 0.250 O
0.630 0.193 0.867 O
0.745 0.912 0.617 O
0.807 0.370 0.633 O
0.912 0.745 0.117 O
```

Most intense lines, 2θ from 15° to 90°, sorted by position:
d [Å]  Rel. int.
3.935  100
3.623  64
3.170  55
3.142  77
2.915  30
2.856  29
2.470  26
1.986  23